Structure and simulated powder XRD pattern of NaU2NiO8 (the PBE+U geometry in Alexandria; a wavelength of 1.5418 Å).
Neutral-atom scattering factors, no anomalous dispersion.

Most intense lines, 5 to 70 degrees two-theta, sorted by position:
| h k l | two_theta | I/Imax |
| --- | --- | --- |
| 1 0 0 | 18.5 | 100 |
| 1 0 -1 | 25.7 | 77 |
| 1 0 1 | 26.8 | 48 |
| 1 2 0 | 31.9 | 99 |
| 1 2 -1 | 36.7 | 30 |
| 0 0 2 | 37.5 | 34 |
| 1 0 2 | 42.8 | 17 |
| 2 2 0 | 46.0 | 19 |
| 2 2 -1 | 49.4 | 41 |
| 2 2 1 | 50.6 | 35 |
| 0 2 3 | 64.2 | 22 |
| 0 4 2 | 66.6 | 18 |

Crystal structure
```
NaU2NiO8
1.0
4.798 0.000 0.000
0.000 6.935 0.000
-0.189 0.000 4.795
Na U Ni O
1 2 1 8
Cartesian
0.000 0.000 0.000
2.305 1.755 2.397
2.305 5.180 2.397
0.000 3.467 0.000
0.936 1.983 0.966
0.936 4.951 0.966
1.342 3.467 3.316
1.423 0.000 3.237
3.186 0.000 1.557
3.267 3.467 1.479
3.673 1.983 3.828
3.673 4.951 3.828
```